Diffraction record for Ti6CoIr. The powder X-ray diffraction pattern is calculated, not measured: it uses a crystal structure in Alexandria, relaxed with GGA-PBE and CuKα.
No peak broadening, texture or thermal motion is included.

Top 6 peaks for 2θ = 15–90°, most intense first:
2θ = 39.98°, I 100
2θ = 41.97°, I 44
2θ = 75.33°, I 28
2θ = 21.68°, I 27
2θ = 71.24°, I 15
2θ = 60.86°, I 14

```
Ti6CoIr
1.0
-2.1526 2.1526 6.7137
2.1526 -2.1526 6.7137
2.1526 2.1526 -6.7137
Ti Co Ir
6 1 1
Cartesian
2.1526 0.0000 1.5389
0.0000 0.0000 3.3537
2.1526 0.0000 5.1749
0.0000 2.1526 1.5389
0.0000 0.0000 10.0737
0.0000 2.1526 5.1749
0.0000 0.0000 0.0000
0.0000 0.0000 6.7137
```



Diffraction record for Ti7Co5Ir. The powder X-ray diffraction pattern is calculated, not measured: it uses a crystal structure in Alexandria, relaxed with GGA-PBE and CuKα.
No peak broadening, texture or thermal motion is included.

Top 6 peaks for 2θ = 15–90°, most intense first:
2θ = 41.83°, I 100
2θ = 47.21°, I 82
2θ = 42.01°, I 74
2θ = 47.69°, I 64
2θ = 36.02°, I 58
2θ = 20.63°, I 58

```
Ti7Co5Ir
1.0
-2.4937 4.3188 4.2510
2.4937 -4.3188 4.2510
2.4937 4.3188 -4.2510
Ti Co Ir
7 5 1
Cartesian
0.0000 0.0000 0.0000
2.4937 1.7255 0.5100
0.0000 2.9661 0.1867
0.0000 0.0000 3.1058
0.0000 5.6716 0.1867
0.0000 4.3188 2.5850
0.0000 2.5933 4.7609
1.2438 2.0774 -1.6910
3.7436 2.0774 -1.6910
2.4937 0.0000 2.2815
-1.2499 2.2414 2.5600
1.2499 2.2414 2.5600
0.0000 0.0000 5.6295
```



Diffraction record for Ti3Co2Ir. The powder X-ray diffraction pattern is calculated, not measured: it uses a crystal structure in Alexandria, relaxed with GGA-PBE and CuKα.
No peak broadening, texture or thermal motion is included.

Top 6 peaks for 2θ = 15–90°, most intense first:
2θ = 42.11°, I 100
2θ = 76.94°, I 23
2θ = 25.42°, I 23
2θ = 29.43°, I 21
2θ = 61.07°, I 16
2θ = 49.83°, I 11

```
Ti3Co2Ir
1.0
4.2898 0.0000 0.0000
-2.1449 3.7151 0.0000
0.0000 0.0000 10.5242
Ti Co Ir
6 4 2
Cartesian
0.0000 0.0000 2.5466
0.0000 0.0000 7.9776
0.0000 2.4767 4.3720
0.0000 2.4767 9.7125
2.1449 1.2384 0.8117
2.1449 1.2384 6.1522
0.0000 0.0000 0.0000
0.0000 0.0000 5.2621
0.0000 2.4767 1.7463
2.1449 1.2384 8.7779
0.0000 2.4767 7.0289
2.1449 1.2384 3.4953
```